Computed powder diffraction line list of NdInCo2 for Cu Kα (weighted mean of Kα1 and Kα2), from a DFT-relaxed cell (PBE, the Materials Project).
Intensities are scaled so that the largest is 100.

Structural model:
```
data_NdInCo2
_chemical_formula_sum 'Nd2 In2 Co4'
_cell_length_a 5.098
_cell_length_b 4.075
_cell_length_c 7.232
_cell_angle_alpha 90.00
_cell_angle_beta 90.00
_cell_angle_gamma 90.00
_symmetry_space_group_name_H-M 'P 1'
_symmetry_Int_Tables_number 1
_symmetry_space_group_name_Hall 'P 1'
loop_
_atom_site_label
_atom_site_fract_x
_atom_site_fract_y
_atom_site_fract_z
_atom_site_occupancy
Nd1 0.250 0.000 0.217 1
Nd2 0.750 0.000 0.783 1
In1 0.250 0.500 0.841 1
In2 0.750 0.500 0.159 1
Co1 0.000 0.500 0.500 1
Co2 0.250 0.000 0.591 1
Co3 0.500 0.500 0.500 1
Co4 0.750 0.000 0.409 1
```

Principal peaks in the range 2θ = 10–80°, sorted by position:
- 2θ = 30.69°, I = 100
- 2θ = 35.21°, I = 28
- 2θ = 37.30°, I = 22
- 2θ = 37.65°, I = 67
- 2θ = 41.43°, I = 20
- 2θ = 43.44°, I = 21
- 2θ = 43.70°, I = 24
- 2θ = 44.47°, I = 31

=====

Computed powder diffraction line list of TiBe2 for Cu Kα (weighted mean of Kα1 and Kα2), from a DFT-relaxed cell (PBE, the Materials Project).
Intensities are scaled so that the largest is 100.

Structural model:
```
data_TiBe2
_chemical_formula_sum 'Ti2 Be4'
_cell_length_a 4.546
_cell_length_b 4.546
_cell_length_c 4.546
_cell_angle_alpha 60.00
_cell_angle_beta 60.00
_cell_angle_gamma 60.00
_symmetry_space_group_name_H-M 'P 1'
_symmetry_Int_Tables_number 1
_symmetry_space_group_name_Hall 'P 1'
loop_
_atom_site_label
_atom_site_fract_x
_atom_site_fract_y
_atom_site_fract_z
_atom_site_occupancy
Ti1 0.125 0.125 0.125 1
Ti2 0.875 0.875 0.875 1
Be1 0.000 0.500 0.500 1
Be2 0.500 0.000 0.500 1
Be3 0.500 0.500 0.000 1
Be4 0.500 0.500 0.500 1
```

Principal peaks in the range 2θ = 10–80°, sorted by position:
- 2θ = 23.97°, I = 86
- 2θ = 39.65°, I = 100
- 2θ = 46.87°, I = 82
- 2θ = 49.08°, I = 2
- 2θ = 57.32°, I = 8
- 2θ = 63.02°, I = 15
- 2θ = 71.95°, I = 29
- 2θ = 77.08°, I = 22

=====

Computed powder diffraction line list of Lu2CdPd2 for Cu Kα (weighted mean of Kα1 and Kα2), from a DFT-relaxed cell (PBE, the Materials Project).
Intensities are scaled so that the largest is 100.

Structural model:
```
data_Lu2CdPd2
_chemical_formula_sum 'Lu4 Cd2 Pd4'
_cell_length_a 7.659
_cell_length_b 7.659
_cell_length_c 3.636
_cell_angle_alpha 90.00
_cell_angle_beta 90.00
_cell_angle_gamma 90.00
_symmetry_space_group_name_H-M 'P 1'
_symmetry_Int_Tables_number 1
_symmetry_space_group_name_Hall 'P 1'
loop_
_atom_site_label
_atom_site_fract_x
_atom_site_fract_y
_atom_site_fract_z
_atom_site_occupancy
Lu1 0.172 0.328 0.000 1
Lu2 0.328 0.828 0.000 1
Lu3 0.672 0.172 0.000 1
Lu4 0.828 0.672 0.000 1
Cd1 0.000 0.000 0.500 1
Cd2 0.500 0.500 0.500 1
Pd1 0.129 0.629 0.500 1
Pd2 0.371 0.129 0.500 1
Pd3 0.629 0.871 0.500 1
Pd4 0.871 0.371 0.500 1
```

Principal peaks in the range 2θ = 10–80°, sorted by position:
- 2θ = 33.08°, I = 9
- 2θ = 34.00°, I = 31
- 2θ = 36.02°, I = 100
- 2θ = 37.12°, I = 42
- 2θ = 50.18°, I = 13
- 2θ = 55.55°, I = 15
- 2θ = 64.04°, I = 16
- 2θ = 71.18°, I = 12

=====

Computed powder diffraction line list of YPS4 for Cu Kα (weighted mean of Kα1 and Kα2), from a DFT-relaxed cell (PBE, the Materials Project).
Intensities are scaled so that the largest is 100.

Structural model:
```
data_YPS4
_chemical_formula_sum 'Y8 P8 S32'
_cell_length_a 12.250
_cell_length_b 12.250
_cell_length_c 12.250
_cell_angle_alpha 127.61
_cell_angle_beta 127.61
_cell_angle_gamma 77.26
_symmetry_space_group_name_H-M 'P 1'
_symmetry_Int_Tables_number 1
_symmetry_space_group_name_Hall 'P 1'
loop_
_atom_site_label
_atom_site_fract_x
_atom_site_fract_y
_atom_site_fract_z
_atom_site_occupancy
Y1 0.125 0.375 0.750 1
Y2 0.125 0.875 0.250 1
Y3 0.375 0.125 0.250 1
Y4 0.375 0.625 0.750 1
Y5 0.625 0.375 0.250 1
Y6 0.625 0.875 0.750 1
Y7 0.875 0.125 0.750 1
Y8 0.875 0.625 0.250 1
P1 0.212 0.250 0.462 1
P2 0.250 0.288 0.038 1
P3 0.250 0.788 0.538 1
P4 0.288 0.750 0.038 1
P5 0.712 0.250 0.962 1
P6 0.750 0.212 0.462 1
P7 0.750 0.712 0.962 1
P8 0.788 0.750 0.538 1
S1 0.085 0.883 0.473 1
S2 0.091 0.389 0.973 1
S3 0.095 0.664 0.939 1
S4 0.111 0.409 0.527 1
S5 0.117 0.091 0.202 1
S6 0.157 0.095 0.931 1
S7 0.164 0.595 0.439 1
S8 0.225 0.157 0.561 1
S9 0.275 0.836 0.931 1
S10 0.336 0.775 0.431 1
S11 0.343 0.275 0.939 1
S12 0.383 0.585 0.973 1
S13 0.389 0.915 0.298 1
S14 0.405 0.343 0.569 1
S15 0.409 0.383 0.298 1
S16 0.415 0.889 0.798 1
S17 0.585 0.111 0.202 1
S18 0.591 0.617 0.702 1
S19 0.595 0.657 0.431 1
S20 0.611 0.085 0.702 1
S21 0.617 0.415 0.027 1
S22 0.657 0.725 0.061 1
S23 0.664 0.225 0.569 1
S24 0.725 0.164 0.069 1
S25 0.775 0.843 0.439 1
S26 0.836 0.405 0.561 1
S27 0.843 0.905 0.069 1
S28 0.883 0.909 0.798 1
S29 0.889 0.591 0.473 1
S30 0.905 0.336 0.061 1
S31 0.909 0.611 0.027 1
S32 0.915 0.117 0.527 1
```

Principal peaks in the range 2θ = 10–80°, sorted by position:
- 2θ = 16.39°, I = 100
- 2θ = 24.85°, I = 52
- 2θ = 29.77°, I = 29
- 2θ = 29.91°, I = 50
- 2θ = 30.16°, I = 26
- 2θ = 37.18°, I = 37
- 2θ = 38.23°, I = 54
- 2θ = 41.85°, I = 56